Starting from a cell relaxed with GGA-PBE, the powder diffractogram of SmHoMg4 was computed for Cu Ka.

Most intense lines, 15° ≤ 2θ ≤ 90°, by angle:
2theta	I (rel.)
19.52	96.7
33.47	100.0
34.15	61.8
39.64	16.2
44.01	15.7
48.57	35.1
53.30	13.9
60.71	35.8
66.78	17.3
81.70	15.3

Atomic structure:
```
data_SmHoMg4
_symmetry_space_group_name_H-M 'P 1'
_symmetry_Int_Tables_number 1
_cell_length_a 6.2084
_cell_length_b 6.2084
_cell_length_c 6.2084
_cell_angle_alpha 129.97
_cell_angle_beta 115.51
_cell_angle_gamma 85.81
loop_
_symmetry_equiv_pos_as_xyz
'x,y,z'
loop_
_atom_site_label
_atom_site_type_symbol
_atom_site_fract_x
_atom_site_fract_y
_atom_site_fract_z
Sm1 Sm 0.0000 0.0000 0.0000
Ho1 Ho 0.5010 0.0010 0.5000
Mg1 Mg 0.0864 0.3339 0.7525
Mg2 Mg 0.4176 0.6677 0.7499
Mg3 Mg 0.5814 0.3339 0.2475
Mg4 Mg 0.9178 0.6677 0.2501
```


Starting from a cell relaxed with GGA-PBE, the powder diffractogram of Y2HoMg4Tl2 was computed for Cu Ka.

Most intense lines, 15° ≤ 2θ ≤ 90°, by angle:
2theta	I (rel.)
23.47	39.8
30.48	100.0
33.46	76.2
36.20	25.7
38.89	21.8
41.26	33.1
45.88	26.1
48.01	15.8
54.12	14.4
65.19	20.3

Atomic structure:
```
data_Y2HoMg4Tl2
_symmetry_space_group_name_H-M 'P 1'
_symmetry_Int_Tables_number 1
_cell_length_a 4.6314
_cell_length_b 7.5764
_cell_length_c 7.5764
_cell_angle_alpha 119.88
_cell_angle_beta 90.00
_cell_angle_gamma 90.00
loop_
_symmetry_equiv_pos_as_xyz
'x,y,z'
loop_
_atom_site_label
_atom_site_type_symbol
_atom_site_fract_x
_atom_site_fract_y
_atom_site_fract_z
Y1 Y 0.0000 0.2176 0.7824
Y2 Y 0.0000 0.7824 0.2176
Ho1 Ho 0.0000 0.3463 0.3463
Mg1 Mg 0.0000 0.7806 0.7806
Mg2 Mg 0.5000 0.0240 0.0240
Mg3 Mg 0.5000 0.5395 0.7819
Mg4 Mg 0.5000 0.7819 0.5395
Tl1 Tl 0.5000 0.1164 0.4486
Tl2 Tl 0.5000 0.4486 0.1164
```


Starting from a cell relaxed with GGA-PBE, the powder diffractogram of HoTmMg was computed for Cu Ka.

Most intense lines, 15° ≤ 2θ ≤ 90°, by angle:
2theta	I (rel.)
19.31	12.8
25.39	17.1
26.37	25.8
31.06	19.3
33.01	30.8
33.78	100.0
35.29	22.3
45.96	13.1
59.44	19.8
64.95	12.9

Atomic structure:
```
data_HoTmMg
_symmetry_space_group_name_H-M 'P 1'
_symmetry_Int_Tables_number 1
_cell_length_a 8.8210
_cell_length_b 8.8210
_cell_length_c 5.4279
_cell_angle_alpha 90.00
_cell_angle_beta 90.00
_cell_angle_gamma 156.57
loop_
_symmetry_equiv_pos_as_xyz
'x,y,z'
loop_
_atom_site_label
_atom_site_type_symbol
_atom_site_fract_x
_atom_site_fract_y
_atom_site_fract_z
Ho1 Ho 0.0976 0.9024 0.7500
Ho2 Ho 0.9024 0.0976 0.2500
Tm1 Tm 0.2258 0.7742 0.2500
Tm2 Tm 0.7742 0.2258 0.7500
Mg1 Mg 0.4373 0.5627 0.7500
Mg2 Mg 0.5627 0.4373 0.2500
```


Starting from a cell relaxed with GGA-PBE, the powder diffractogram of HoTmMg6 was computed for Cu Ka.

Most intense lines, 15° ≤ 2θ ≤ 90°, by angle:
2theta	I (rel.)
21.13	76.6
24.41	27.2
24.53	13.4
34.85	100.0
41.06	28.1
41.21	13.9
43.03	12.4
55.00	12.1
62.42	24.1
62.59	12.0

Atomic structure:
```
data_HoTmMg6
_symmetry_space_group_name_H-M 'P 1'
_symmetry_Int_Tables_number 1
_cell_length_a 5.1574
_cell_length_b 7.2582
_cell_length_c 5.1585
_cell_angle_alpha 90.00
_cell_angle_beta 90.00
_cell_angle_gamma 90.00
loop_
_symmetry_equiv_pos_as_xyz
'x,y,z'
loop_
_atom_site_label
_atom_site_type_symbol
_atom_site_fract_x
_atom_site_fract_y
_atom_site_fract_z
Ho1 Ho 0.0000 0.0000 0.0000
Tm1 Tm 0.5000 0.5000 0.4905
Mg1 Mg 0.0000 0.2503 0.5004
Mg2 Mg 0.0000 0.5000 0.9995
Mg3 Mg 0.0000 0.7497 0.5004
Mg4 Mg 0.5000 0.0000 0.4911
Mg5 Mg 0.5000 0.2504 0.9902
Mg6 Mg 0.5000 0.7496 0.9902
```


Starting from a cell relaxed with GGA-PBE, the powder diffractogram of HoTmMg2 was computed for Cu Ka.

Most intense lines, 15° ≤ 2θ ≤ 90°, by angle:
2theta	I (rel.)
23.48	32.9
23.76	63.9
33.65	100.0
33.85	49.2
41.61	29.9
48.62	17.8
54.26	14.0
54.67	13.6
60.04	18.9
60.43	37.0

Atomic structure:
```
data_HoTmMg2
_symmetry_space_group_name_H-M 'P 1'
_symmetry_Int_Tables_number 1
_cell_length_a 3.7890
_cell_length_b 5.2964
_cell_length_c 5.2967
_cell_angle_alpha 90.00
_cell_angle_beta 90.00
_cell_angle_gamma 90.00
loop_
_symmetry_equiv_pos_as_xyz
'x,y,z'
loop_
_atom_site_label
_atom_site_type_symbol
_atom_site_fract_x
_atom_site_fract_y
_atom_site_fract_z
Ho1 Ho 0.0000 0.0000 0.0000
Tm1 Tm 0.0000 0.5000 0.5034
Mg1 Mg 0.5000 0.0000 0.4996
Mg2 Mg 0.5000 0.5000 0.0039
```


Starting from a cell relaxed with GGA-PBE, the powder diffractogram of YHoTm2Mg2 was computed for Cu Ka.

Most intense lines, 15° ≤ 2θ ≤ 90°, by angle:
2theta	I (rel.)
25.19	13.5
26.41	25.3
31.15	19.8
32.96	30.2
33.63	100.0
35.36	20.3
44.58	15.5
45.99	13.5
59.29	19.5
64.95	12.1

Atomic structure:
```
data_YHoTm2Mg2
_symmetry_space_group_name_H-M 'P 1'
_symmetry_Int_Tables_number 1
_cell_length_a 5.4348
_cell_length_b 8.8003
_cell_length_c 8.8003
_cell_angle_alpha 23.69
_cell_angle_beta 90.00
_cell_angle_gamma 90.00
loop_
_symmetry_equiv_pos_as_xyz
'x,y,z'
loop_
_atom_site_label
_atom_site_type_symbol
_atom_site_fract_x
_atom_site_fract_y
_atom_site_fract_z
Y1 Y 0.0000 0.0000 0.0000
Ho1 Ho 0.5000 0.1902 0.1902
Tm1 Tm 0.0000 0.3204 0.3204
Tm2 Tm 0.5000 0.8674 0.8674
Mg1 Mg 0.0000 0.6598 0.6598
Mg2 Mg 0.5000 0.5300 0.5300
```


Starting from a cell relaxed with GGA-PBE, the powder diffractogram of Ho2N3 was computed for Cu Ka.

Most intense lines, 15° ≤ 2θ ≤ 90°, by angle:
2theta	I (rel.)
20.13	7.9
28.62	100.0
33.17	37.8
42.67	6.7
47.61	38.5
56.49	34.5
59.25	7.8
76.93	10.3
79.31	8.2
88.71	7.1

Atomic structure:
```
data_Ho2N3
_symmetry_space_group_name_H-M 'P 1'
_symmetry_Int_Tables_number 1
_cell_length_a 9.3573
_cell_length_b 9.3573
_cell_length_c 9.3573
_cell_angle_alpha 109.47
_cell_angle_beta 109.47
_cell_angle_gamma 109.47
loop_
_symmetry_equiv_pos_as_xyz
'x,y,z'
loop_
_atom_site_label
_atom_site_type_symbol
_atom_site_fract_x
_atom_site_fract_y
_atom_site_fract_z
Ho1 Ho 0.0000 0.0000 0.5000
Ho2 Ho 0.0000 0.5000 0.0000
Ho3 Ho 0.0290 0.7500 0.7790
Ho4 Ho 0.2210 0.9710 0.2500
Ho5 Ho 0.2500 0.2210 0.9710
Ho6 Ho 0.2500 0.7210 0.4710
Ho7 Ho 0.2790 0.5290 0.7500
Ho8 Ho 0.4710 0.2500 0.7210
Ho9 Ho 0.5000 0.0000 0.0000
Ho10 Ho 0.5000 0.5000 0.5000
Ho11 Ho 0.5290 0.7500 0.2790
Ho12 Ho 0.7210 0.4710 0.2500
Ho13 Ho 0.7500 0.2790 0.5290
Ho14 Ho 0.7500 0.7790 0.0290
Ho15 Ho 0.7790 0.0290 0.7500
Ho16 Ho 0.9710 0.2500 0.2210
N1 N 0.0106 0.0376 0.2700
N2 N 0.0270 0.4894 0.7594
N3 N 0.0376 0.2700 0.0106
N4 N 0.2300 0.2676 0.7406
N5 N 0.2324 0.4624 0.4730
N6 N 0.2406 0.9730 0.5106
N7 N 0.2594 0.7700 0.7324
N8 N 0.2676 0.7406 0.2300
N9 N 0.2700 0.0106 0.0376
N10 N 0.4624 0.4730 0.2324
N11 N 0.4730 0.2324 0.4624
N12 N 0.4894 0.7594 0.0270
N13 N 0.5106 0.2406 0.9730
N14 N 0.5270 0.7676 0.5376
N15 N 0.5376 0.5270 0.7676
N16 N 0.7300 0.9894 0.9624
N17 N 0.7324 0.2594 0.7700
N18 N 0.7406 0.2300 0.2676
N19 N 0.7594 0.0270 0.4894
N20 N 0.7676 0.5376 0.5270
N21 N 0.7700 0.7324 0.2594
N22 N 0.9624 0.7300 0.9894
N23 N 0.9730 0.5106 0.2406
N24 N 0.9894 0.9624 0.7300
```


Repeat the first record exactly.
Starting from a cell relaxed with GGA-PBE, the powder diffractogram of SmHoMg4 was computed for Cu Ka.

Most intense lines, 15° ≤ 2θ ≤ 90°, by angle:
2theta	I (rel.)
19.52	96.7
33.47	100.0
34.15	61.8
39.64	16.2
44.01	15.7
48.57	35.1
53.30	13.9
60.71	35.8
66.78	17.3
81.70	15.3

Atomic structure:
```
data_SmHoMg4
_symmetry_space_group_name_H-M 'P 1'
_symmetry_Int_Tables_number 1
_cell_length_a 6.2084
_cell_length_b 6.2084
_cell_length_c 6.2084
_cell_angle_alpha 129.97
_cell_angle_beta 115.51
_cell_angle_gamma 85.81
loop_
_symmetry_equiv_pos_as_xyz
'x,y,z'
loop_
_atom_site_label
_atom_site_type_symbol
_atom_site_fract_x
_atom_site_fract_y
_atom_site_fract_z
Sm1 Sm 0.0000 0.0000 0.0000
Ho1 Ho 0.5010 0.0010 0.5000
Mg1 Mg 0.0864 0.3339 0.7525
Mg2 Mg 0.4176 0.6677 0.7499
Mg3 Mg 0.5814 0.3339 0.2475
Mg4 Mg 0.9178 0.6677 0.2501
```